Structure and theoretical powder diffractogram of Zr4Sc2Cu3N3 (a DFT-relaxed cell (GGA-PBE, OQMD); λ = 1.5418 Å (Cu Kα)).

Structural model:
Cell lengths 9.7045, 5.6019, 14.2309 Å; angles 90.00, 103.41, 90.00 degrees
Space group C2/c (No. 15)
Inequivalent atoms, fractional coordinates:
Zr: 0.1125 0.0873 0.0872 x8
Zr: 0.2227 0.0824 0.4127 x8
Sc: 0.0459 0.4189 0.8960 x8
Cu: 0.0000 0.0691 0.2500 x4
Cu: 0.2380 0.3463 0.2499 x8
N: 0.0810 0.2570 0.5000 x8
N: 0.2500 0.2500 0.0000 x4

Principal peaks in the range 2θ from 10° to 90°, sorted by position:
2theta, intensity, index
18.42, 22.5, 1 1 0
18.79, 19.0, 2 0 0
31.95, 18.0, 3 1 -1
32.61, 18.3, 0 2 1
37.53, 100.0, 3 1 -4
37.63, 49.3, 3 1 2
39.04, 36.1, 0 0 6
56.93, 20.7, 6 0 -2